Entry 1:
Starting from a PBE-relaxed structure, the X-ray powder pattern of La3MnBi5 was calculated for Cu Kα (λ = 1.5418 Å).
Kinematic intensities with the Lorentz-polarization factor, no thermal factor.

Main lines, sorted by position (10° ≤ 2θ ≤ 90°):
| Position (°2θ) | I/Imax |
| --- | --- |
| 27.87 | 25 |
| 29.14 | 15 |
| 31.07 | 93 |
| 31.69 | 73 |
| 32.83 | 100 |
| 46.28 | 32 |
| 48.88 | 19 |
| 50.47 | 24 |
| 51.33 | 17 |
| 65.74 | 18 |

Structure:
abc: 9.7797 9.7797 6.5743
angles: 90.00 90.00 120.00
Element x y z (fractional)
La (0.0000, 0.3795, 0.2500)
La (0.0000, 0.6205, 0.7500)
La (0.3795, 0.0000, 0.2500)
La (0.3795, 0.3795, 0.7500)
La (0.6205, 0.0000, 0.7500)
La (0.6205, 0.6205, 0.2500)
Mn (0.0000, 0.0000, 0.0000)
Mn (0.0000, 0.0000, 0.5000)
Bi (0.0000, 0.2525, 0.7500)
Bi (0.0000, 0.7475, 0.2500)
Bi (0.2525, 0.0000, 0.7500)
Bi (0.2525, 0.2525, 0.2500)
Bi (0.3333, 0.6667, 0.0000)
Bi (0.3333, 0.6667, 0.5000)
Bi (0.6667, 0.3333, 0.0000)
Bi (0.6667, 0.3333, 0.5000)
Bi (0.7475, 0.0000, 0.2500)
Bi (0.7475, 0.7475, 0.7500)

=====

Entry 2:
Starting from a PBE-relaxed structure, the X-ray powder pattern of La3Ni3Bi4 was calculated for Cu Kα (λ = 1.5418 Å).
Kinematic intensities with the Lorentz-polarization factor, no thermal factor.

Main lines, sorted by position (10° ≤ 2θ ≤ 90°):
| Position (°2θ) | I/Imax |
| --- | --- |
| 28.30 | 66 |
| 33.63 | 100 |
| 40.46 | 18 |
| 44.51 | 25 |
| 46.44 | 25 |
| 56.93 | 19 |
| 58.55 | 16 |
| 60.14 | 13 |
| 69.24 | 13 |
| 83.38 | 10 |

Structure:
abc: 8.6352 8.6352 8.6352
angles: 109.47 109.47 109.47
Element x y z (fractional)
La (0.1250, 0.8750, 0.2500)
La (0.2500, 0.1250, 0.8750)
La (0.3750, 0.6250, 0.7500)
La (0.6250, 0.7500, 0.3750)
La (0.7500, 0.3750, 0.6250)
La (0.8750, 0.2500, 0.1250)
Ni (0.1250, 0.7500, 0.8750)
Ni (0.2500, 0.6250, 0.3750)
Ni (0.3750, 0.2500, 0.6250)
Ni (0.6250, 0.3750, 0.2500)
Ni (0.7500, 0.8750, 0.1250)
Ni (0.8750, 0.1250, 0.7500)
Bi (0.0000, 0.1559, 0.5000)
Bi (0.0000, 0.6559, 0.5000)
Bi (0.1559, 0.5000, 0.0000)
Bi (0.3441, 0.3441, 0.3441)
Bi (0.5000, 0.0000, 0.1559)
Bi (0.5000, 0.0000, 0.6559)
Bi (0.6559, 0.5000, 0.0000)
Bi (0.8441, 0.8441, 0.8441)

=====

Entry 3:
Starting from a PBE-relaxed structure, the X-ray powder pattern of La2BiO2 was calculated for Cu Kα (λ = 1.5418 Å).
Kinematic intensities with the Lorentz-polarization factor, no thermal factor.

Main lines, sorted by position (10° ≤ 2θ ≤ 90°):
| Position (°2θ) | I/Imax |
| --- | --- |
| 28.75 | 100 |
| 30.89 | 36 |
| 37.77 | 11 |
| 44.24 | 18 |
| 49.56 | 25 |
| 53.62 | 36 |
| 59.54 | 12 |
| 62.76 | 11 |
| 79.97 | 11 |
| 85.33 | 11 |

Structure:
abc: 7.7102 7.7102 7.7102
angles: 149.21 149.21 44.11
Element x y z (fractional)
La (0.1659, 0.1659, 0.0000)
La (0.8341, 0.8341, 0.0000)
Bi (0.5000, 0.5000, 0.0000)
O (0.2500, 0.7500, 0.5000)
O (0.7500, 0.2500, 0.5000)

=====

Entry 4:
Starting from a PBE-relaxed structure, the X-ray powder pattern of La10Bi8O27 was calculated for Cu Kα (λ = 1.5418 Å).
Kinematic intensities with the Lorentz-polarization factor, no thermal factor.

Main lines, sorted by position (10° ≤ 2θ ≤ 90°):
| Position (°2θ) | I/Imax |
| --- | --- |
| 26.86 | 58 |
| 26.91 | 51 |
| 27.23 | 100 |
| 31.15 | 52 |
| 31.74 | 24 |
| 44.18 | 18 |
| 45.01 | 15 |
| 45.08 | 60 |
| 52.68 | 33 |
| 53.28 | 21 |

Structure:
abc: 8.1994 10.5831 10.6018
angles: 69.46 78.77 78.77
Element x y z (fractional)
La (0.0000, 0.0000, 0.0000)
La (0.0002, 0.3128, 0.6785)
La (0.1660, 0.3441, 0.9973)
La (0.3255, 0.3513, 0.3448)
La (0.3284, 0.6649, 0.0308)
La (0.5013, 0.3449, 0.6682)
La (0.5037, 0.0049, 0.9843)
La (0.6641, 0.3420, 0.9998)
La (0.8275, 0.3527, 0.3406)
La (0.8288, 0.6732, 0.0012)
Bi (0.1639, 0.6528, 0.6915)
Bi (0.1661, 0.0099, 0.3235)
Bi (0.3281, 0.0125, 0.6855)
Bi (0.5051, 0.6605, 0.3333)
Bi (0.6650, 0.6534, 0.6917)
Bi (0.6673, 0.0114, 0.3239)
Bi (0.8269, 0.0092, 0.6839)
Bi (0.9976, 0.6582, 0.3324)
O (0.0294, 0.7494, 0.1131)
O (0.0364, 0.4352, 0.4242)
O (0.0521, 0.0640, 0.7416)
O (0.1117, 0.2142, 0.3065)
O (0.1535, 0.6046, 0.9052)
O (0.1768, 0.4389, 0.7380)
O (0.2251, 0.0543, 0.1147)
O (0.2777, 0.6048, 0.2803)
O (0.2921, 0.9178, 0.9047)
O (0.2995, 0.2315, 0.5937)
O (0.3700, 0.4127, 0.1081)
O (0.4468, 0.6114, 0.6072)
O (0.4590, 0.2585, 0.9090)
O (0.5352, 0.4404, 0.4135)
O (0.5414, 0.7541, 0.1033)
O (0.5485, 0.0645, 0.7386)
O (0.5939, 0.6037, 0.9056)
O (0.6290, 0.2159, 0.3050)
O (0.6898, 0.0566, 0.1152)
O (0.7346, 0.4394, 0.7395)
O (0.7803, 0.6020, 0.2775)
O (0.7870, 0.2395, 0.5925)
O (0.7960, 0.9298, 0.9037)
O (0.8713, 0.4290, 0.0897)
O (0.8820, 0.7336, 0.7388)
O (0.9315, 0.9519, 0.3228)
O (0.9585, 0.2366, 0.9295)

=====

Entry 5:
Starting from a PBE-relaxed structure, the X-ray powder pattern of La4Bi2O9 was calculated for Cu Kα (λ = 1.5418 Å).
Kinematic intensities with the Lorentz-polarization factor, no thermal factor.

Main lines, sorted by position (10° ≤ 2θ ≤ 90°):
| Position (°2θ) | I/Imax |
| --- | --- |
| 25.49 | 78 |
| 26.04 | 93 |
| 26.94 | 99 |
| 27.18 | 100 |
| 30.57 | 90 |
| 30.66 | 34 |
| 43.97 | 39 |
| 44.34 | 30 |
| 45.50 | 28 |
| 51.95 | 33 |

Structure:
abc: 5.8490 5.8547 9.2362
angles: 107.93 93.52 91.30
Element x y z (fractional)
La (0.0000, 0.0000, 0.0000)
La (0.0223, 0.3610, 0.7184)
La (0.0478, 0.6769, 0.3552)
La (0.5580, 0.5033, 0.0119)
Bi (0.4703, 0.8474, 0.7341)
Bi (0.6184, 0.0941, 0.3244)
O (0.2252, 0.5618, 0.5545)
O (0.2710, 0.1854, 0.8695)
O (0.2825, 0.7032, 0.8847)
O (0.3454, 0.7835, 0.2365)
O (0.7613, 0.6667, 0.8293)
O (0.7758, 0.1890, 0.8640)
O (0.8104, 0.8297, 0.1708)
O (0.8163, 0.3337, 0.2082)
O (0.8612, 0.0350, 0.4979)

=====

Entry 6:
Starting from a PBE-relaxed structure, the X-ray powder pattern of La2Bi4O9 was calculated for Cu Kα (λ = 1.5418 Å).
Kinematic intensities with the Lorentz-polarization factor, no thermal factor.

Main lines, sorted by position (10° ≤ 2θ ≤ 90°):
| Position (°2θ) | I/Imax |
| --- | --- |
| 26.22 | 57 |
| 28.39 | 72 |
| 28.52 | 74 |
| 28.88 | 56 |
| 29.17 | 100 |
| 30.29 | 44 |
| 30.42 | 49 |
| 44.73 | 43 |
| 44.88 | 75 |
| 54.08 | 42 |

Structure:
abc: 4.0409 7.0092 9.4334
angles: 96.80 101.20 90.24
Element x y z (fractional)
La (0.0000, 0.0000, 0.0000)
La (0.4825, 0.5033, 0.9728)
Bi (0.1319, 0.4006, 0.3094)
Bi (0.3413, 0.1053, 0.6582)
Bi (0.6789, 0.8678, 0.3274)
Bi (0.8555, 0.6276, 0.6396)
O (0.0324, 0.3596, 0.0749)
O (0.0890, 0.0609, 0.2790)
O (0.1609, 0.7303, 0.4678)
O (0.3011, 0.4314, 0.6854)
O (0.4573, 0.1415, 0.8892)
O (0.5407, 0.8386, 0.0895)
O (0.6158, 0.5336, 0.2629)
O (0.8704, 0.9604, 0.6920)
O (0.9435, 0.6654, 0.8777)

=====

Entry 7:
Starting from a PBE-relaxed structure, the X-ray powder pattern of LaBi3O8 was calculated for Cu Kα (λ = 1.5418 Å).
Kinematic intensities with the Lorentz-polarization factor, no thermal factor.

Main lines, sorted by position (10° ≤ 2θ ≤ 90°):
| Position (°2θ) | I/Imax |
| --- | --- |
| 28.18 | 100 |
| 31.10 | 18 |
| 33.40 | 37 |
| 46.28 | 33 |
| 47.96 | 18 |
| 53.56 | 20 |
| 56.55 | 30 |
| 58.27 | 13 |
| 74.71 | 15 |
| 88.26 | 11 |

Structure:
abc: 3.7915 6.8914 6.8914
angles: 66.85 90.00 90.00
Element x y z (fractional)
La (0.0000, 0.0000, 0.0000)
Bi (0.0000, 0.4839, 0.4839)
Bi (0.5000, 0.0134, 0.4904)
Bi (0.5000, 0.4904, 0.0134)
O (0.0000, 0.1392, 0.6157)
O (0.0000, 0.2041, 0.2041)
O (0.0000, 0.6157, 0.1392)
O (0.0000, 0.6634, 0.6634)
O (0.5000, 0.2898, 0.8352)
O (0.5000, 0.3919, 0.3919)
O (0.5000, 0.8352, 0.2898)
O (0.5000, 0.8384, 0.8384)

=====

Entry 8:
Starting from a PBE-relaxed structure, the X-ray powder pattern of La2Bi2O7 was calculated for Cu Kα (λ = 1.5418 Å).
Kinematic intensities with the Lorentz-polarization factor, no thermal factor.

Main lines, sorted by position (10° ≤ 2θ ≤ 90°):
| Position (°2θ) | I/Imax |
| --- | --- |
| 26.22 | 5 |
| 27.41 | 100 |
| 31.76 | 36 |
| 45.53 | 49 |
| 53.97 | 47 |
| 56.58 | 11 |
| 66.35 | 8 |
| 73.21 | 19 |
| 75.44 | 15 |
| 84.16 | 15 |

Structure:
abc: 7.9694 7.9694 7.9694
angles: 60.00 60.00 60.00
Element x y z (fractional)
La (0.0000, 0.0000, 0.0000)
La (0.0000, 0.0000, 0.5000)
La (0.0000, 0.5000, 0.0000)
La (0.5000, 0.0000, 0.0000)
Bi (0.0000, 0.5000, 0.5000)
Bi (0.5000, 0.0000, 0.5000)
Bi (0.5000, 0.5000, 0.0000)
Bi (0.5000, 0.5000, 0.5000)
O (0.1250, 0.1250, 0.1250)
O (0.1568, 0.1568, 0.5932)
O (0.1568, 0.5932, 0.1568)
O (0.1568, 0.5932, 0.5932)
O (0.4068, 0.4068, 0.8432)
O (0.4068, 0.8432, 0.4068)
O (0.4068, 0.8432, 0.8432)
O (0.5932, 0.1568, 0.1568)
O (0.5932, 0.1568, 0.5932)
O (0.5932, 0.5932, 0.1568)
O (0.8432, 0.4068, 0.4068)
O (0.8432, 0.4068, 0.8432)
O (0.8432, 0.8432, 0.4068)
O (0.8750, 0.8750, 0.8750)

=====

Entry 9:
Starting from a PBE-relaxed structure, the X-ray powder pattern of LaBi2O4 was calculated for Cu Kα (λ = 1.5418 Å).
Kinematic intensities with the Lorentz-polarization factor, no thermal factor.

Main lines, sorted by position (10° ≤ 2θ ≤ 90°):
| Position (°2θ) | I/Imax |
| --- | --- |
| 25.72 | 34 |
| 26.32 | 45 |
| 28.60 | 100 |
| 28.83 | 53 |
| 30.21 | 64 |
| 34.16 | 18 |
| 44.98 | 57 |
| 49.92 | 27 |
| 52.93 | 25 |
| 54.31 | 55 |

Structure:
abc: 9.5763 9.5763 9.5763
angles: 24.30 24.30 24.30
Element x y z (fractional)
La (0.0000, 0.0000, 0.0000)
Bi (0.2227, 0.2227, 0.2227)
Bi (0.7773, 0.7773, 0.7773)
O (0.0957, 0.0957, 0.0957)
O (0.3000, 0.3000, 0.3000)
O (0.7000, 0.7000, 0.7000)
O (0.9043, 0.9043, 0.9043)

=====

Entry 10:
Starting from a PBE-relaxed structure, the X-ray powder pattern of La2Bi2O7 was calculated for Cu Kα (λ = 1.5418 Å).
Kinematic intensities with the Lorentz-polarization factor, no thermal factor.

Main lines, sorted by position (10° ≤ 2θ ≤ 90°):
| Position (°2θ) | I/Imax |
| --- | --- |
| 25.17 | 33 |
| 26.06 | 23 |
| 27.56 | 75 |
| 29.35 | 26 |
| 29.98 | 44 |
| 30.37 | 100 |
| 39.53 | 22 |
| 42.85 | 25 |
| 47.21 | 23 |
| 53.48 | 29 |

Structure:
abc: 8.4420 5.9604 14.3147
angles: 90.00 98.58 90.00
Element x y z (fractional)
La (0.1429, 0.0000, 0.0649)
La (0.2368, 0.4405, 0.4213)
La (0.2845, 0.9183, 0.6247)
La (0.3545, 0.4494, 0.8890)
La (0.6455, 0.9494, 0.1110)
La (0.7155, 0.4183, 0.3753)
La (0.7632, 0.9405, 0.5787)
La (0.8571, 0.5000, 0.9351)
Bi (0.0265, 0.4344, 0.6183)
Bi (0.0779, 0.9357, 0.8178)
Bi (0.4135, 0.4469, 0.1752)
Bi (0.4678, 0.9335, 0.3774)
Bi (0.5322, 0.4335, 0.6226)
Bi (0.5865, 0.9469, 0.8248)
Bi (0.9221, 0.4357, 0.1822)
Bi (0.9735, 0.9344, 0.3817)
O (0.0083, 0.0648, 0.6804)
O (0.0717, 0.2184, 0.9100)
O (0.0802, 0.7199, 0.5182)
O (0.1344, 0.7234, 0.9381)
O (0.1598, 0.6522, 0.7473)
O (0.1684, 0.3235, 0.1786)
O (0.2247, 0.0636, 0.3847)
O (0.2679, 0.2951, 0.5788)
O (0.3230, 0.0824, 0.8081)
O (0.3721, 0.7680, 0.1159)
O (0.4019, 0.2485, 0.0470)
O (0.4222, 0.5678, 0.3193)
O (0.4376, 0.7261, 0.5180)
O (0.4835, 0.6580, 0.7519)
O (0.5165, 0.1580, 0.2481)
O (0.5624, 0.2261, 0.4820)
O (0.5778, 0.0678, 0.6807)
O (0.5981, 0.7485, 0.9530)
O (0.6279, 0.2680, 0.8841)
O (0.6770, 0.5824, 0.1919)
O (0.7321, 0.7951, 0.4212)
O (0.7753, 0.5636, 0.6153)
O (0.8316, 0.8235, 0.8214)
O (0.8402, 0.1522, 0.2527)
O (0.8656, 0.2234, 0.0619)
O (0.9198, 0.2199, 0.4818)
O (0.9283, 0.7184, 0.0900)
O (0.9917, 0.5648, 0.3196)

=====

Entry 11:
Starting from a PBE-relaxed structure, the X-ray powder pattern of La2BiO5 was calculated for Cu Kα (λ = 1.5418 Å).
Kinematic intensities with the Lorentz-polarization factor, no thermal factor.

Main lines, sorted by position (10° ≤ 2θ ≤ 90°):
| Position (°2θ) | I/Imax |
| --- | --- |
| 26.36 | 100 |
| 26.92 | 96 |
| 27.16 | 96 |
| 28.35 | 91 |
| 31.04 | 47 |
| 31.36 | 45 |
| 32.15 | 45 |
| 43.24 | 37 |
| 44.39 | 31 |
| 51.95 | 32 |

Structure:
abc: 5.7221 5.7744 8.8061
angles: 71.72 86.36 86.52
Element x y z (fractional)
La (0.0000, 0.0000, 0.0000)
La (0.0068, 0.6691, 0.6498)
La (0.0469, 0.3156, 0.3261)
La (0.5336, 0.1459, 0.6490)
Bi (0.5124, 0.7842, 0.3518)
Bi (0.5233, 0.5104, 0.9786)
O (0.2747, 0.2367, 0.0248)
O (0.2785, 0.9939, 0.4735)
O (0.2897, 0.4863, 0.5072)
O (0.2943, 0.7836, 0.8155)
O (0.3081, 0.6497, 0.1548)
O (0.7378, 0.3411, 0.8146)
O (0.7617, 0.2677, 0.1426)
O (0.7677, 0.7987, 0.8823)
O (0.7853, 0.9882, 0.4979)
O (0.7885, 0.5081, 0.4619)